# 1
Na3Co2Br8: computed PXRD pattern (Cu Kα (λ = 1.5418 Å)), based on a DFT-relaxed cell (GGA-PBE, Alexandria).
Lines closer than 0.1° are merged.

Cell and atoms:
a = 8.6307 Å, b = 15.9999 Å, c = 11.6262 Å
α = 90.00°, β = 90.00°, γ = 90.00°
Space group Cmce (No. 64)
One atom of each set of equivalent atoms:
Na 0.0000 0.0000 0.0000 [4 per cell]
Na 0.2500 0.1389 0.2500 [8 per cell]
Co 0.0000 0.1190 0.6218 [8 per cell]
Br 0.0000 0.0036 0.2565 [8 per cell]
Br 0.0000 0.2365 0.7456 [8 per cell]
Br 0.2278 0.1239 0.5104 [16 per cell]

Largest 6 diffraction maxima, in order of falling intensity, 10 to 80 degrees two-theta:
| two_theta | I/Imax | hkl |
| --- | --- | --- |
| 25.7 | 100 | 2 0 2 |
| 43.8 | 93 | 2 4 4 |
| 27.1 | 89 | 0 4 2 |
| 30.5 | 66 | 2 4 0 |
| 30.8 | 39 | 0 0 4 |
| 52.9 | 35 | 4 0 4 |

# 2
Na4CoBr6: computed PXRD pattern (Cu Kα (λ = 1.5418 Å)), based on a DFT-relaxed cell (GGA-PBE, Alexandria).
Lines closer than 0.1° are merged.

Cell and atoms:
a = 13.9983 Å, b = 7.8922 Å, c = 14.1567 Å
α = 90.00°, β = 112.08°, γ = 90.00°
Space group Cc (No. 9)
One atom of each set of equivalent atoms:
Na 0.0000 0.1047 0.0000 [4 per cell]
Na 0.1286 0.3215 0.3541 [4 per cell]
Na 0.3072 0.3672 0.6958 [4 per cell]
Na 0.3592 0.1149 0.0187 [4 per cell]
Co 0.0649 0.2260 0.7598 [4 per cell]
Br 0.0982 0.4686 0.6719 [4 per cell]
Br 0.1334 0.0239 0.2141 [4 per cell]
Br 0.1494 0.2876 0.9390 [4 per cell]
Br 0.3209 0.2403 0.5138 [4 per cell]
Br 0.3822 0.2804 0.2135 [4 per cell]
Br 0.4506 0.2851 0.8944 [4 per cell]

Largest 6 diffraction maxima, in order of falling intensity, 10 to 80 degrees two-theta:
| two_theta | I/Imax | hkl |
| --- | --- | --- |
| 26.4 | 100 | 1 1 3 |
| 27.2 | 92 | 0 0 4 |
| 22.6 | 40 | 0 2 0 |
| 22.0 | 34 | 1 1 -3 |
| 22.2 | 32 | 3 1 -1 |
| 45.2 | 32 | 6 2 -2 |